Starting from the PBE+U geometry in Alexandria, the powder diffractogram of MgFe2P2O10 was simulated for Cu Kα (λ = 1.5418 Å).
Kinematic intensities with the Lorentz-polarization factor, no thermal factor.

Most intense lines, 10 to 90 degrees two-theta, sorted by position:
| d [Å] | 2theta | intensity |
| --- | --- | --- |
| 5.666 | 15.64 | 47 |
| 3.273 | 27.24 | 82 |
| 3.034 | 29.44 | 39 |
| 2.833 | 31.58 | 72 |
| 2.826 | 31.66 | 92 |
| 2.805 | 31.90 | 100 |
| 2.407 | 37.36 | 31 |
| 2.143 | 42.17 | 29 |
| 1.990 | 45.58 | 35 |
| 1.704 | 53.79 | 34 |
| 1.637 | 56.18 | 25 |
| 1.635 | 56.27 | 29 |

Structural model:
Cell: 9.734 8.686 6.715 Å, 77.23 60.49 42.28°
Fractional positions:
Mg1 0.125 0.125 0.125
Mg2 0.875 0.875 0.875
Fe1 0.000 0.500 0.500
Fe2 0.500 0.000 0.500
Fe3 0.500 0.500 0.000
Fe4 0.500 0.500 0.500
P1 0.081 0.081 0.669
P2 0.331 0.331 0.919
P3 0.669 0.669 0.081
P4 0.919 0.919 0.331
O1 0.064 0.213 0.468
O2 0.116 0.428 0.160
O3 0.160 0.797 0.116
O4 0.203 0.840 0.572
O5 0.213 0.064 0.754
O6 0.246 0.532 0.787
O7 0.306 0.306 0.444
O8 0.428 0.116 0.797
O9 0.444 0.444 0.306
O10 0.468 0.754 0.064
O11 0.532 0.246 0.936
O12 0.556 0.556 0.694
O13 0.572 0.884 0.203
O14 0.694 0.694 0.556
O15 0.754 0.468 0.213
O16 0.787 0.936 0.246
O17 0.797 0.160 0.428
O18 0.840 0.203 0.884
O19 0.884 0.572 0.840
O20 0.936 0.787 0.532